(1)
For HfBe9Os2, the PBE geometry in Alexandria gives the simulated powder X-ray diffraction pattern in this record (Cu Kα (weighted mean of Kα1 and Kα2)).
Kinematic intensities with the Lorentz-polarization factor, no thermal factor.

Most intense lines, 2θ from 10° to 90°, by angle:
| two_theta | Rel. int. |
| --- | --- |
| 23.7 | 100.0 |
| 25.5 | 26.2 |
| 38.2 | 58.9 |
| 41.0 | 50.2 |
| 41.8 | 28.9 |
| 48.9 | 35.1 |

Structural model:
Lattice parameters (Å, degrees): 7.4322 7.4322 7.4322 34.45 34.45 34.45
Element x y z (fractional)
Hf 0.0000 0.0000 0.0000
Be 0.0803 0.5892 0.5892
Be 0.3329 0.3329 0.3329
Be 0.4108 0.4108 0.9197
Be 0.4108 0.9197 0.4108
Be 0.5000 0.5000 0.5000
Be 0.5892 0.0803 0.5892
Be 0.5892 0.5892 0.0803
Be 0.6671 0.6671 0.6671
Be 0.9197 0.4108 0.4108
Os 0.1415 0.1415 0.1415
Os 0.8585 0.8585 0.8585

(2)
For TbDy2YTl2, the PBE geometry in Alexandria gives the simulated powder X-ray diffraction pattern in this record (Cu Kα (weighted mean of Kα1 and Kα2)).
Kinematic intensities with the Lorentz-polarization factor, no thermal factor.

Most intense lines, 2θ from 10° to 90°, by angle:
| two_theta | Rel. int. |
| --- | --- |
| 31.6 | 54.0 |
| 31.8 | 23.8 |
| 32.0 | 100.0 |
| 32.9 | 91.0 |
| 34.7 | 34.5 |
| 35.1 | 59.1 |

Structural model:
Lattice parameters (Å, degrees): 5.1076 10.0078 6.8024 90.00 90.00 90.00
Element x y z (fractional)
Tb 0.0000 0.0409 0.0000
Tb 0.0000 0.9591 0.5000
Dy 0.0000 0.3141 0.3694
Dy 0.0000 0.6859 0.8694
Dy 0.5000 0.4584 0.0889
Dy 0.5000 0.5416 0.5889
Y 0.5000 0.1875 0.7200
Y 0.5000 0.8125 0.2200
Tl 0.0000 0.3658 0.8355
Tl 0.0000 0.6342 0.3355
Tl 0.5000 0.1346 0.2541
Tl 0.5000 0.8654 0.7541

(3)
For MgHgRu2, the PBE geometry in Alexandria gives the simulated powder X-ray diffraction pattern in this record (Cu Kα (weighted mean of Kα1 and Kα2)).
Kinematic intensities with the Lorentz-polarization factor, no thermal factor.

Most intense lines, 2θ from 10° to 90°, by angle:
| two_theta | Rel. int. |
| --- | --- |
| 24.5 | 26.6 |
| 38.9 | 100.0 |
| 43.7 | 35.9 |
| 67.0 | 20.0 |
| 77.1 | 26.9 |
| 83.5 | 22.1 |

Structural model:
Lattice parameters (Å, degrees): 4.7831 4.7831 4.7831 128.68 128.68 75.52
Element x y z (fractional)
Mg 0.0000 0.0000 0.0000
Hg 0.7500 0.2500 0.5000
Ru 0.2500 0.7500 0.5000
Ru 0.5000 0.5000 0.0000

(4)
For Sc5P4Se, the PBE geometry in Alexandria gives the simulated powder X-ray diffraction pattern in this record (Cu Kα (weighted mean of Kα1 and Kα2)).
Kinematic intensities with the Lorentz-polarization factor, no thermal factor.

Most intense lines, 2θ from 10° to 90°, by angle:
| two_theta | Rel. int. |
| --- | --- |
| 33.6 | 100.0 |
| 48.2 | 66.3 |
| 60.0 | 21.5 |
| 70.5 | 9.7 |
| 80.4 | 26.7 |
| 90.0 | 20.4 |

Structural model:
Lattice parameters (Å, degrees): 6.5423 6.5423 6.5423 99.60 99.60 131.79
Element x y z (fractional)
Sc 0.0000 0.0000 0.0000
Sc 0.1900 0.6036 0.7936
Sc 0.3964 0.1900 0.5864
Sc 0.6036 0.8100 0.4136
Sc 0.8100 0.3964 0.2064
P 0.1027 0.2984 0.4010
P 0.2984 0.8973 0.1957
P 0.7016 0.1027 0.8043
P 0.8973 0.7016 0.5990
Se 0.5000 0.5000 0.0000

(5)
For La5TbTh2, the PBE geometry in Alexandria gives the simulated powder X-ray diffraction pattern in this record (Cu Kα (weighted mean of Kα1 and Kα2)).
Kinematic intensities with the Lorentz-polarization factor, no thermal factor.

Most intense lines, 2θ from 10° to 90°, by angle:
| two_theta | Rel. int. |
| --- | --- |
| 27.4 | 55.8 |
| 30.0 | 100.0 |
| 30.5 | 89.1 |
| 31.0 | 70.9 |
| 35.2 | 71.1 |
| 35.6 | 60.7 |

Structural model:
Lattice parameters (Å, degrees): 3.6155 8.9481 17.8164 90.00 100.70 90.00
Element x y z (fractional)
La 0.0000 0.0358 0.2500
La 0.0000 0.9642 0.7500
La 0.1507 0.3444 0.3589
La 0.1507 0.6556 0.8589
La 0.1942 0.3139 0.9503
La 0.1942 0.6861 0.4503
La 0.8058 0.3139 0.5497
La 0.8058 0.6861 0.0497
La 0.8493 0.3444 0.1411
La 0.8493 0.6556 0.6411
Tb 0.5000 0.3159 0.7500
Tb 0.5000 0.6841 0.2500
Th 0.3296 0.0096 0.0844
Th 0.3296 0.9904 0.5844
Th 0.6704 0.0096 0.4156
Th 0.6704 0.9904 0.9156

(6)
For K2CaDyF6, the PBE geometry in Alexandria gives the simulated powder X-ray diffraction pattern in this record (Cu Kα (weighted mean of Kα1 and Kα2)).
Kinematic intensities with the Lorentz-polarization factor, no thermal factor.

Most intense lines, 2θ from 10° to 90°, by angle:
| two_theta | Rel. int. |
| --- | --- |
| 17.1 | 74.7 |
| 19.5 | 99.1 |
| 27.4 | 52.6 |
| 27.7 | 100.0 |
| 27.9 | 93.1 |
| 39.6 | 95.3 |

Structural model:
Lattice parameters (Å, degrees): 6.3790 6.4013 6.4036 61.09 60.60 60.64
Element x y z (fractional)
K 0.2463 0.2743 0.2726
K 0.7537 0.7257 0.7274
Ca 0.5000 0.5000 0.5000
Dy 0.0000 0.0000 0.0000
F 0.2305 0.2602 0.7249
F 0.2297 0.7272 0.2612
F 0.2827 0.7533 0.7577
F 0.7173 0.2467 0.2423
F 0.7703 0.2728 0.7388
F 0.7695 0.7398 0.2751